No. 1
Computed PXRD pattern
Compound: KMoP2O6
Radiation: Cu Kα (λ = 1.5418 Å)
Structure: a DFT-relaxed cell (PBE+U, Alexandria)

Most intense lines, 10 to 90 degrees two-theta, sorted by position:
(hkl), d/Å, 2theta, I/Imax
0 0 3, 6.435, 13.76, 25
1 0 1, 4.505, 19.70, 18
0 1 2, 4.177, 21.27, 11
1 0 4, 3.342, 26.67, 100
1 1 0, 2.675, 33.50, 26
0 1 8, 2.140, 42.23, 22
0 2 4, 2.088, 43.32, 12
2 -1 6, 2.057, 44.02, 13
2 0 8, 1.672, 54.92, 15
3 -1 4, 1.646, 55.85, 17

Unit cell a=5.3501 b=5.3501 c=19.3036 alpha=90.00 beta=90.00 gamma=120.00
Space group R-3 (No. 148, hexagonal axes)
One atom of each set of equivalent atoms:
K (0.0000, 0.0000, 0.0000)
Mo (0.0000, 0.0000, 0.5000)
P (0.0000, 0.0000, 0.2511)
O (0.0305, 0.4156, 0.8988)

No. 2
Computed PXRD pattern
Compound: KMoPbO6
Radiation: Cu Kα (λ = 1.5418 Å)
Structure: a DFT-relaxed cell (PBE+U, Alexandria)

Most intense lines, 10 to 90 degrees two-theta, sorted by position:
(hkl), d/Å, 2theta, I/Imax
0 0 2, 5.759, 15.39, 98
1 0 0, 4.911, 18.06, 41
1 0 1, 4.517, 19.65, 23
1 0 2, 3.737, 23.81, 100
1 1 0, 2.835, 31.55, 55
1 1 2, 2.544, 35.28, 60
2 0 2, 2.259, 39.91, 20
1 1 4, 2.020, 44.87, 64
2 1 2, 1.767, 51.74, 23
2 -1 6, 1.590, 58.02, 19

Unit cell a=5.6707 b=5.6707 c=11.5171 alpha=90.00 beta=90.00 gamma=120.00
Space group P-31c (No. 163)
One atom of each set of equivalent atoms:
K (0.0000, 0.0000, 0.0000)
Mo (0.3333, 0.6667, 0.2500)
Pb (0.3333, 0.6667, 0.7500)
O (0.0316, 0.4183, 0.1512)

No. 3
Computed PXRD pattern
Compound: K2MoPtO4
Radiation: Cu Kα (λ = 1.5418 Å)
Structure: a DFT-relaxed cell (PBE+U, Alexandria)

Most intense lines, 10 to 90 degrees two-theta, sorted by position:
(hkl), d/Å, 2theta, I/Imax
1 0 1, 4.691, 18.92, 86
2 0 0, 3.168, 28.17, 65
1 1 2, 2.752, 32.53, 100
1 2 1, 2.625, 34.15, 31
2 2 0, 2.240, 40.26, 29
1 2 3, 1.798, 50.79, 13
1 3 2, 1.737, 52.68, 55
2 0 4, 1.528, 60.60, 17
4 2 0, 1.417, 65.93, 14
5 1 2, 1.171, 82.38, 14

Unit cell a=6.3361 b=6.3361 c=6.9768 alpha=90.00 beta=90.00 gamma=90.00
Space group I-4 (No. 82)
One atom of each set of equivalent atoms:
K (0.0000, 0.0000, 0.0000)
K (0.0000, 0.5000, 0.2500)
Mo (0.0000, 0.5000, 0.7500)
Pt (0.0000, 0.0000, 0.5000)
O (0.1343, 0.3123, 0.5801)

No. 4
Computed PXRD pattern
Compound: KRb2MoO4
Radiation: Cu Kα (λ = 1.5418 Å)
Structure: a DFT-relaxed cell (PBE+U, Alexandria)

Most intense lines, 10 to 90 degrees two-theta, sorted by position:
(hkl), d/Å, 2theta, I/Imax
1 0 1, 5.188, 17.09, 10
2 0 0, 3.231, 27.61, 37
1 1 2, 3.151, 28.32, 100
2 2 0, 2.285, 39.44, 22
1 3 2, 1.850, 49.27, 37
2 0 4, 1.805, 50.57, 22
2 2 4, 1.576, 58.58, 10
3 3 2, 1.438, 64.86, 9
5 1 2, 1.217, 78.63, 10
3 1 6, 1.183, 81.34, 10

Unit cell a=6.4616 b=6.4616 c=8.7044 alpha=90.00 beta=90.00 gamma=90.00
Space group I-4 (No. 82)
One atom of each set of equivalent atoms:
K (0.0000, 0.0000, 0.0000)
Rb (0.0000, 0.0000, 0.5000)
Rb (0.0000, 0.5000, 0.2500)
Mo (0.0000, 0.5000, 0.7500)
O (0.1714, 0.6906, 0.8509)

No. 5
Computed PXRD pattern
Compound: K3ReMoO8
Radiation: Cu Kα (λ = 1.5418 Å)
Structure: a DFT-relaxed cell (PBE+U, Alexandria)

Most intense lines, 10 to 90 degrees two-theta, sorted by position:
(hkl), d/Å, 2theta, I/Imax
1 0 1, 5.227, 16.96, 81
0 1 2, 4.818, 18.41, 28
1 0 4, 3.807, 23.37, 40
0 1 5, 3.362, 26.51, 99
1 1 0, 3.111, 28.69, 100
0 2 1, 2.672, 33.54, 24
2 0 5, 2.284, 39.46, 44
1 0 10, 1.999, 45.38, 32
1 2 5, 1.841, 49.52, 36
2 2 0, 1.555, 59.43, 24

Unit cell a=6.2227 b=6.2227 c=21.5139 alpha=90.00 beta=90.00 gamma=120.00
Space group R3m (No. 160, hexagonal axes)
One atom of each set of equivalent atoms:
K (0.0000, 0.0000, 0.0000)
K (0.0000, 0.0000, 0.1844)
K (0.0000, 0.0000, 0.3912)
Re (0.0000, 0.0000, 0.5962)
Mo (0.0000, 0.0000, 0.7886)
O (0.0000, 0.0000, 0.5149)
O (0.0000, 0.0000, 0.8722)
O (0.0194, 0.5097, 0.4264)
O (0.1792, 0.3584, 0.2895)

No. 6
Computed PXRD pattern
Compound: K2MoSO3
Radiation: Cu Kα (λ = 1.5418 Å)
Structure: a DFT-relaxed cell (PBE+U, Alexandria)

Most intense lines, 10 to 90 degrees two-theta, sorted by position:
(hkl), d/Å, 2theta, I/Imax
2 0 -1, 5.799, 15.28, 53
1 1 -1, 4.827, 18.38, 56
0 0 2, 3.687, 24.14, 50
3 1 0, 3.442, 25.88, 86
0 2 0, 3.137, 28.45, 72
3 1 -2, 2.970, 30.09, 100
3 1 1, 2.827, 31.65, 35
0 2 2, 2.389, 37.65, 51
3 1 2, 2.222, 40.61, 30
3 3 -2, 1.777, 51.42, 33

Unit cell a=13.1266 b=6.2741 c=7.8363 alpha=90.00 beta=109.79 gamma=90.00
Space group C2/m (No. 12)
One atom of each set of equivalent atoms:
K (0.0089, 0.0000, 0.2962)
K (0.1726, 0.5000, 0.2282)
Mo (0.1508, 0.5000, 0.7109)
S (0.1795, 0.0000, 0.0841)
O (0.0525, 0.5000, 0.8217)
O (0.1344, 0.2660, 0.5736)

No. 7
Computed PXRD pattern
Compound: K2MoS3O
Radiation: Cu Kα (λ = 1.5418 Å)
Structure: a DFT-relaxed cell (PBE+U, Alexandria)

Most intense lines, 10 to 90 degrees two-theta, sorted by position:
(hkl), d/Å, 2theta, I/Imax
1 1 1, 5.122, 17.31, 100
1 0 2, 4.863, 18.24, 34
0 2 0, 3.648, 24.40, 46
2 0 2, 3.596, 24.76, 34
0 1 3, 3.378, 26.38, 58
1 1 3, 3.173, 28.12, 37
2 2 1, 2.778, 32.22, 31
3 1 1, 2.757, 32.48, 46
2 2 2, 2.560, 35.05, 36
1 2 6, 1.661, 55.29, 27

Unit cell a=9.2510 b=7.2953 c=11.4332 alpha=90.00 beta=90.00 gamma=90.00
Space group Pnma (No. 62)
One atom of each set of equivalent atoms:
K (0.0485, 0.2500, 0.1925)
K (0.1541, 0.7500, 0.3780)
Mo (0.2366, 0.7500, 0.0459)
S (0.0060, 0.7500, 0.0993)
S (0.1565, 0.0031, 0.6207)
O (0.2489, 0.2500, 0.3916)

No. 8
Computed PXRD pattern
Compound: KMoSeO5
Radiation: Cu Kα (λ = 1.5418 Å)
Structure: a DFT-relaxed cell (PBE+U, Alexandria)

Most intense lines, 10 to 90 degrees two-theta, sorted by position:
(hkl), d/Å, 2theta, I/Imax
1 1 0, 5.409, 16.39, 22
1 1 -1, 5.340, 16.60, 53
1 1 1, 3.693, 24.10, 100
2 0 -2, 3.272, 27.25, 72
0 2 2, 2.806, 31.89, 47
1 3 -1, 2.786, 32.13, 66
2 2 0, 2.705, 33.12, 32
2 0 2, 2.014, 45.00, 28
2 2 -4, 1.813, 50.32, 20
3 3 -3, 1.780, 51.33, 23

Unit cell a=7.4779 b=9.2355 c=7.9178 alpha=90.00 beta=116.81 gamma=90.00
Space group C2/c (No. 15)
One atom of each set of equivalent atoms:
K (0.0000, 0.0729, 0.2500)
Mo (0.2500, 0.2500, 0.0000)
Se (0.0000, 0.4555, 0.2500)
O (0.0000, 0.2318, 0.7500)
O (0.0564, 0.3325, 0.1153)
O (0.2198, 0.0551, 0.0640)

No. 9
Computed PXRD pattern
Compound: K2SmMoO6
Radiation: Cu Kα (λ = 1.5418 Å)
Structure: a DFT-relaxed cell (PBE+U, Alexandria)

Most intense lines, 10 to 90 degrees two-theta, sorted by position:
(hkl), d/Å, 2theta, I/Imax
2 0 0, 4.270, 20.80, 54
2 2 0, 3.020, 29.58, 100
4 0 0, 2.135, 42.33, 36
4 2 0, 1.910, 47.62, 23
4 2 2, 1.743, 52.49, 38
4 4 0, 1.510, 61.41, 21
6 0 0, 1.423, 65.58, 11
6 2 0, 1.350, 69.62, 18
4 4 4, 1.233, 77.42, 7
6 4 2, 1.141, 84.98, 20

Unit cell a=8.5407 b=8.5407 c=8.5407 alpha=90.00 beta=90.00 gamma=90.00
Space group Fm-3m (No. 225)
One atom of each set of equivalent atoms:
K (0.2500, 0.2500, 0.2500)
Sm (0.0000, 0.0000, 0.0000)
Mo (0.0000, 0.0000, 0.5000)
O (0.0000, 0.0000, 0.2722)

Which formula does entry 2 have?
KMoPbO6